# 1
# K2VInI6
Theoretical X-ray diffraction stick pattern, Cu Kα (λ = 1.5418 Å). Input: a GGA-PBE-relaxed structure.
No peak broadening, texture or thermal motion is included.

Crystal structure
a = 8.4583 Å, b = 8.4583 Å, c = 20.7966 Å
α = 90.00°, β = 90.00°, γ = 120.00°
Space group R3 (No. 146, hexagonal axes)
Symmetry-distinct sites (fractional):
K: 0.0000 0.0000 0.0000
K: 0.0000 0.0000 0.4883
V: 0.0000 0.0000 0.7066
In: 0.0000 0.0000 0.2128
I: 0.0361 0.4280 0.4491
I: 0.0926 0.7164 0.2934

Top 6 peaks for 10 to 90 degrees two-theta, in order of rising 2θ:
| 2theta | d_spacing | I/Imax | hkl |
| --- | --- | --- | --- |
| 14.79 | 5.988 | 47 | 0 1 2 |
| 24.66 | 3.610 | 100 | 1 1 3 |
| 25.74 | 3.461 | 36 | 0 0 6 |
| 29.84 | 2.994 | 44 | 0 2 4 |
| 32.63 | 2.744 | 30 | 2 1 1 |
| 33.44 | 2.680 | 44 | 2 -1 6 |

=====

# 2
# Cs3NpTl2Br9
Theoretical X-ray diffraction stick pattern, Cu Kα (λ = 1.5418 Å). Input: a GGA-PBE-relaxed structure.
No peak broadening, texture or thermal motion is included.

Crystal structure
a = 8.7183 Å, b = 8.7183 Å, c = 10.5884 Å
α = 90.00°, β = 90.00°, γ = 120.00°
Space group P-3m1 (No. 164)
Symmetry-distinct sites (fractional):
Cs: 0.0000 0.0000 0.0000
Cs: 0.3333 0.6667 0.7394
Np: 0.0000 0.0000 0.5000
Tl: 0.3333 0.6667 0.1707
Br: 0.0000 0.5000 0.0000
Br: 0.1486 0.2973 0.3459

Top 6 peaks for 10 to 90 degrees two-theta, in order of rising 2θ:
| 2theta | d_spacing | I/Imax | hkl |
| --- | --- | --- | --- |
| 14.41 | 6.147 | 58 | 1 0 1 |
| 20.37 | 4.359 | 54 | 1 1 0 |
| 20.49 | 4.335 | 45 | 0 1 2 |
| 29.05 | 3.074 | 100 | 2 0 2 |
| 35.72 | 2.514 | 38 | 3 0 0 |
| 41.43 | 2.180 | 40 | 2 2 0 |

=====

# 3
# Li12Zn7Ir
Theoretical X-ray diffraction stick pattern, Cu Kα (λ = 1.5418 Å). Input: a GGA-PBE-relaxed structure.
No peak broadening, texture or thermal motion is included.

Crystal structure
a = 11.0007 Å, b = 11.0007 Å, c = 9.2366 Å
α = 90.00°, β = 90.00°, γ = 120.00°
Space group R-3 (No. 148, hexagonal axes)
Symmetry-distinct sites (fractional):
Li: 0.0008 0.7366 0.0004
Li: 0.0797 0.9167 0.7422
Zn: 0.0000 0.0000 0.0000
Zn: 0.0646 0.5331 0.1183
Ir: 0.0000 0.0000 0.5000

Top 6 peaks for 10 to 90 degrees two-theta, in order of rising 2θ:
| 2theta | d_spacing | I/Imax | hkl |
| --- | --- | --- | --- |
| 13.35 | 6.632 | 100 | 1 0 1 |
| 21.38 | 4.156 | 48 | 0 1 2 |
| 32.56 | 2.750 | 32 | 2 2 0 |
| 39.28 | 2.293 | 22 | 3 1 2 |
| 42.50 | 2.127 | 28 | 3 2 1 |
| 45.94 | 1.976 | 33 | 5 -3 2 |

=====

# 4
# VCrGe2
Theoretical X-ray diffraction stick pattern, Cu Kα (λ = 1.5418 Å). Input: a GGA-PBE-relaxed structure.
No peak broadening, texture or thermal motion is included.

Crystal structure
a = 4.552 Å, b = 5.325 Å, c = 9.094 Å
α = 90.00°, β = 90.00°, γ = 90.00°
Space group Pmna (No. 53)
Symmetry-distinct sites (fractional):
V: 0.000 0.123 0.125
Cr: 0.000 0.134 0.627
Ge: 0.000 0.353 0.378
Ge: 0.000 0.364 0.873

Top 6 peaks for 10 to 90 degrees two-theta, in order of rising 2θ:
| 2theta | d_spacing | I/Imax | hkl |
| --- | --- | --- | --- |
| 39.59 | 2.276 | 36 | 2 0 0 |
| 39.64 | 2.273 | 36 | 0 0 4 |
| 44.15 | 2.051 | 100 | 1 2 2 |
| 57.27 | 1.609 | 23 | 2 0 4 |
| 75.04 | 1.266 | 38 | 3 2 2 |
| 84.28 | 1.149 | 13 | 2 4 0 |

=====

# 5
# RbH3Cl6
Theoretical X-ray diffraction stick pattern, Cu Kα (λ = 1.5418 Å). Input: a GGA-PBE-relaxed structure.
No peak broadening, texture or thermal motion is included.

Crystal structure
a = 13.4482 Å, b = 13.4482 Å, c = 6.3790 Å
α = 90.00°, β = 90.00°, γ = 120.00°
Space group R3m (No. 160, hexagonal axes)
Symmetry-distinct sites (fractional):
Rb: 0.0000 0.0000 0.0000
H: 0.1887 0.3774 0.9722
Cl: 0.0381 0.5190 0.4983
Cl: 0.1416 0.0708 0.5070

Top 6 peaks for 10 to 90 degrees two-theta, in order of rising 2θ:
| 2theta | d_spacing | I/Imax | hkl |
| --- | --- | --- | --- |
| 13.17 | 6.724 | 100 | 1 1 0 |
| 24.57 | 3.623 | 71 | 2 1 1 |
| 26.51 | 3.362 | 40 | 2 2 0 |
| 31.03 | 2.882 | 55 | 1 3 1 |
| 31.99 | 2.797 | 53 | 2 0 2 |
| 36.46 | 2.464 | 36 | 3 2 1 |

=====

# 6
# Tb8Ho3Th
Theoretical X-ray diffraction stick pattern, Cu Kα (λ = 1.5418 Å). Input: a GGA-PBE-relaxed structure.
No peak broadening, texture or thermal motion is included.

Crystal structure
a = 7.691 Å, b = 7.691 Å, c = 15.446 Å
α = 90.00°, β = 90.00°, γ = 90.00°
Space group I4/mmm (No. 139)
Symmetry-distinct sites (fractional):
Tb: 0.249 0.249 0.125
Ho: 0.000 0.000 0.500
Ho: 0.000 0.500 0.250
Th: 0.000 0.000 0.000

Top 6 peaks for 10 to 90 degrees two-theta, in order of rising 2θ:
| 2theta | d_spacing | I/Imax | hkl |
| --- | --- | --- | --- |
| 19.97 | 4.446 | 30 | 1 1 2 |
| 32.89 | 2.723 | 100 | 2 2 0 |
| 38.82 | 2.320 | 11 | 3 1 2 |
| 47.28 | 1.923 | 12 | 4 0 0 |
| 58.64 | 1.574 | 13 | 2 2 8 |
| 58.78 | 1.571 | 26 | 4 2 4 |

=====

# 7
# ScSe2
Theoretical X-ray diffraction stick pattern, Cu Kα (λ = 1.5418 Å). Input: a GGA-PBE-relaxed structure.
No peak broadening, texture or thermal motion is included.

Crystal structure
a = 6.589 Å, b = 6.589 Å, c = 6.589 Å
α = 90.00°, β = 90.00°, γ = 90.00°
Space group Pa-3 (No. 205)
Symmetry-distinct sites (fractional):
Sc: 0.000 0.000 0.000
Se: 0.126 0.626 0.874

Top 6 peaks for 10 to 90 degrees two-theta, in order of rising 2θ:
| 2theta | d_spacing | I/Imax | hkl |
| --- | --- | --- | --- |
| 30.33 | 2.947 | 100 | 2 1 0 |
| 33.31 | 2.690 | 77 | 2 1 1 |
| 45.66 | 1.987 | 49 | 3 1 1 |
| 49.90 | 1.828 | 23 | 3 0 2 |
| 51.92 | 1.761 | 43 | 3 1 2 |
| 64.84 | 1.438 | 22 | 4 2 1 |

=====

# 8
# Ru5C4
Theoretical X-ray diffraction stick pattern, Cu Kα (λ = 1.5418 Å). Input: a GGA-PBE-relaxed structure.
No peak broadening, texture or thermal motion is included.

Crystal structure
a = 6.0165 Å, b = 6.0165 Å, c = 6.0392 Å
α = 90.00°, β = 90.00°, γ = 120.00°
Space group P6_3/mcm (No. 193)
Symmetry-distinct sites (fractional):
Ru: 0.0000 0.2512 0.2500
Ru: 0.3333 0.6667 0.0000
C: 0.0000 0.0000 0.0000
C: 0.0000 0.4196 0.7500

Top 6 peaks for 10 to 90 degrees two-theta, in order of rising 2θ:
| 2theta | d_spacing | I/Imax | hkl |
| --- | --- | --- | --- |
| 33.27 | 2.693 | 63 | 1 1 1 |
| 34.32 | 2.613 | 57 | 1 0 2 |
| 42.41 | 2.131 | 100 | 1 1 2 |
| 46.09 | 1.969 | 28 | 2 1 0 |
| 48.63 | 1.872 | 57 | 2 1 1 |
| 80.27 | 1.196 | 27 | 4 0 2 |

=====

# 9
# PmSm4Se7
Theoretical X-ray diffraction stick pattern, Cu Kα (λ = 1.5418 Å). Input: a GGA-PBE-relaxed structure.
No peak broadening, texture or thermal motion is included.

Crystal structure
a = 13.742 Å, b = 4.063 Å, c = 12.422 Å
α = 90.00°, β = 104.57°, γ = 90.00°
Space group Cm (No. 8)
Symmetry-distinct sites (fractional):
Pm: 0.000 0.000 0.000
Sm: 0.113 0.000 0.422
Sm: 0.225 0.000 0.843
Sm: 0.313 0.500 0.234
Sm: 0.413 0.000 0.610
Se: 0.072 0.000 0.637
Se: 0.113 0.500 0.920
Se: 0.154 0.000 0.207
Se: 0.273 0.500 0.472
Se: 0.353 0.500 0.772
Se: 0.371 0.000 0.071
Se: 0.453 0.000 0.372

Top 6 peaks for 10 to 90 degrees two-theta, in order of rising 2θ:
| 2theta | d_spacing | I/Imax | hkl |
| --- | --- | --- | --- |
| 22.29 | 3.988 | 88 | 2 0 2 |
| 22.86 | 3.890 | 95 | 2 0 -3 |
| 29.48 | 3.030 | 77 | 3 1 -1 |
| 31.01 | 2.884 | 100 | 3 1 -2 |
| 32.00 | 2.797 | 76 | 3 1 1 |
| 44.61 | 2.031 | 61 | 0 2 0 |

=====

# 10
# Y3Th3Tl2Tc
Theoretical X-ray diffraction stick pattern, Cu Kα (λ = 1.5418 Å). Input: a GGA-PBE-relaxed structure.
No peak broadening, texture or thermal motion is included.

Crystal structure
a = 8.7930 Å, b = 8.7930 Å, c = 3.8639 Å
α = 90.00°, β = 90.00°, γ = 120.00°
Space group P-62m (No. 189)
Symmetry-distinct sites (fractional):
Y: 0.0000 0.6023 0.0000
Th: 0.0000 0.2428 0.5000
Tl: 0.3333 0.6667 0.5000
Tc: 0.0000 0.0000 0.0000

Top 6 peaks for 10 to 90 degrees two-theta, in order of rising 2θ:
| 2theta | d_spacing | I/Imax | hkl |
| --- | --- | --- | --- |
| 30.81 | 2.902 | 96 | 1 1 1 |
| 31.07 | 2.878 | 100 | 2 1 0 |
| 33.03 | 2.712 | 81 | 2 0 1 |
| 35.36 | 2.538 | 51 | 3 0 0 |
| 39.02 | 2.308 | 94 | 2 1 1 |
| 57.93 | 1.592 | 44 | 3 2 1 |